(1)
K4IBr2Cl: theoretical X-ray diffraction stick pattern (Cu Kα X-rays), based on a PBE-relaxed structure.

Most intense lines, 10 to 80 degrees two-theta, sorted by position:
- 22.7°, I = 10, hkl 0 2 2
- 22.9°, I = 10, hkl 2 0 2
- 26.4°, I = 100, hkl 2 2 0
- 37.4°, I = 12, hkl 0 4 0
- 37.7°, I = 49, hkl 2 2 4
- 38.0°, I = 12, hkl 4 0 0
- 46.4°, I = 13, hkl 0 4 4
- 46.8°, I = 13, hkl 4 0 4
- 54.4°, I = 12, hkl 4 4 0
- 61.4°, I = 21, hkl 4 4 4

Structural model:
abc: 9.4776 9.6143 13.5112
angles: 90.00 90.00 90.00
Space group Imma (No. 74)
Symmetry-distinct sites (fractional):
K 0.0000 0.0125 0.2457
K 0.2437 0.2500 0.0055
I 0.2500 0.2500 0.7500
Br 0.0000 0.0000 0.5000
Br 0.2500 0.2500 0.2500
Cl 0.0000 0.0000 0.0000

***

(2)
Li4I2BrCl: theoretical X-ray diffraction stick pattern (Cu Kα X-rays), based on a PBE-relaxed structure.

Most intense lines, 10 to 80 degrees two-theta, sorted by position:
- 17.4°, I = 14, hkl 0 1 1
- 23.8°, I = 28, hkl 0 2 0
- 25.6°, I = 28, hkl 0 0 2
- 27.0°, I = 100, hkl 2 1 1
- 35.2°, I = 18, hkl 0 2 2
- 41.8°, I = 16, hkl 2 3 0
- 46.1°, I = 26, hkl 2 1 3
- 49.6°, I = 9, hkl 4 0 2
- 49.7°, I = 17, hkl 2 3 2
- 50.4°, I = 11, hkl 4 2 1

Structural model:
abc: 8.6692 7.4775 6.9473
angles: 90.00 90.00 90.00
Space group Pmn2_1 (No. 31)
Symmetry-distinct sites (fractional):
Li 0.0000 0.1304 0.0000
Li 0.0000 0.8517 0.4795
Li 0.2397 0.6879 0.0403
I 0.2496 0.3239 0.1361
Br 0.0000 0.1618 0.6333
Cl 0.0000 0.8340 0.1343

***

(3)
PuIBrCl: theoretical X-ray diffraction stick pattern (Cu Kα X-rays), based on a PBE-relaxed structure.

Most intense lines, 10 to 80 degrees two-theta, sorted by position:
- 12.4°, I = 49, hkl 0 0 2
- 17.6°, I = 100, hkl 0 1 1
- 27.7°, I = 67, hkl 1 0 3
- 29.1°, I = 35, hkl 1 1 2
- 33.1°, I = 23, hkl 0 2 0
- 36.6°, I = 45, hkl 1 1 4
- 43.8°, I = 39, hkl 1 2 3
- 45.2°, I = 19, hkl 2 1 1
- 51.1°, I = 17, hkl 0 3 1
- 67.9°, I = 15, hkl 2 2 6

Structural model:
abc: 4.3736 5.4049 14.2337
angles: 90.00 90.00 90.00
Space group Imm2 (No. 44)
Symmetry-distinct sites (fractional):
Pu 0.0000 0.0000 0.0000
I 0.0000 0.5000 0.6545
Br 0.0000 0.5000 0.3685
Cl 0.0000 0.5000 0.9970

***

(4)
Rb6I2Br3Cl: theoretical X-ray diffraction stick pattern (Cu Kα X-rays), based on a PBE-relaxed structure.

Most intense lines, 10 to 80 degrees two-theta, sorted by position:
- 25.0°, I = 100, hkl 6 0 0
- 35.2°, I = 13, hkl 2 0 -4
- 35.6°, I = 51, hkl 5 1 2
- 36.1°, I = 13, hkl 0 2 0
- 43.5°, I = 7, hkl 8 0 -4
- 43.7°, I = 7, hkl 4 0 4
- 44.4°, I = 14, hkl 6 2 0
- 51.2°, I = 13, hkl 2 2 -4
- 57.8°, I = 18, hkl 8 2 -4
- 64.6°, I = 9, hkl 5 3 2

Structural model:
abc: 22.0339 4.9790 10.2082
angles: 90.00 103.56 90.00
Space group C2/m (No. 12)
Symmetry-distinct sites (fractional):
Rb 0.0029 0.0000 0.2614
Rb 0.1612 0.5000 0.0948
Rb 0.1625 0.5000 0.5689
I 0.1671 0.0000 0.8325
Br 0.0000 0.5000 0.0000
Br 0.1665 0.0000 0.3365
Cl 0.0000 0.5000 0.5000

***

(5)
SbI3Br2Cl6: theoretical X-ray diffraction stick pattern (Cu Kα X-rays), based on a PBE-relaxed structure.

Most intense lines, 10 to 80 degrees two-theta, sorted by position:
- 14.4°, I = 100, hkl 0 1 -1
- 16.3°, I = 70, hkl 1 0 1
- 17.3°, I = 51, hkl 1 -1 1
- 18.5°, I = 40, hkl -1 1 1
- 22.6°, I = 78, hkl 1 -2 0
- 24.0°, I = 32, hkl 1 -2 1
- 26.8°, I = 29, hkl 2 0 1
- 30.7°, I = 30, hkl 1 2 1
- 33.0°, I = 48, hkl -2 1 2
- 37.3°, I = 27, hkl 2 -3 1

Structural model:
abc: 7.5470 8.3370 8.3569
angles: 96.70 90.08 102.99
Space group P-1 (No. 2)
Symmetry-distinct sites (fractional):
Sb 0.0000 0.0000 0.0000
I 0.0000 0.5000 0.5000
I 0.3170 0.7438 0.6483
Br 0.4882 0.2487 0.5990
Cl 0.0836 0.0130 0.2771
Cl 0.1180 0.7441 0.9442
Cl 0.2941 0.1680 0.9540

***

(6)
In6Br5Cl7: theoretical X-ray diffraction stick pattern (Cu Kα X-rays), based on a PBE-relaxed structure.

Most intense lines, 10 to 80 degrees two-theta, sorted by position:
- 16.8°, I = 54, hkl 0 0 2
- 18.5°, I = 86, hkl 0 2 0
- 25.1°, I = 50, hkl 3 1 1
- 27.6°, I = 20, hkl 3 0 2
- 28.7°, I = 31, hkl 3 2 0
- 34.9°, I = 100, hkl 3 1 3
- 36.7°, I = 21, hkl 3 3 1
- 37.6°, I = 30, hkl 0 4 0
- 44.2°, I = 75, hkl 6 0 0
- 59.4°, I = 34, hkl 6 4 0

Structural model:
abc: 12.2815 9.5749 10.5538
angles: 90.00 90.00 90.00
Space group Amm2 (No. 38)
Symmetry-distinct sites (fractional):
In 0.0000 0.0000 0.0000
In 0.1639 0.0000 0.5279
In 0.3325 0.0000 0.0322
In 0.5000 0.0000 0.5331
Br 0.0000 0.0000 0.3479
Br 0.3307 0.0000 0.7086
Br 0.3334 0.0000 0.3532
Cl 0.0000 0.0000 0.6915
Cl 0.1645 0.2395 0.0334
Cl 0.5000 0.2389 0.0327

***

(7)
In3BrCl5: theoretical X-ray diffraction stick pattern (Cu Kα X-rays), based on a PBE-relaxed structure.

Most intense lines, 10 to 80 degrees two-theta, sorted by position:
- 17.3°, I = 88, hkl 0 6 0
- 18.4°, I = 86, hkl 2 0 0
- 25.6°, I = 73, hkl 1 3 1
- 29.0°, I = 27, hkl 2 0 1
- 35.7°, I = 100, hkl 1 9 1
- 36.9°, I = 33, hkl 3 3 1
- 37.4°, I = 35, hkl 4 0 0
- 44.8°, I = 56, hkl 3 9 1
- 45.2°, I = 20, hkl 0 0 2
- 59.8°, I = 19, hkl 5 9 1

Structural model:
abc: 9.6213 30.7994 4.0144
angles: 90.00 90.00 90.00
Space group Cmmm (No. 65)
Symmetry-distinct sites (fractional):
In 0.0000 0.0000 0.0000
In 0.0000 0.1657 0.5000
In 0.0000 0.3278 0.0000
In 0.0000 0.5000 0.5000
Br 0.0000 0.3901 0.5000
Cl 0.0000 0.0562 0.5000
Cl 0.0000 0.2721 0.5000
Cl 0.2415 0.1738 0.0000
Cl 0.2424 0.5000 0.0000

***

(8)
In3Br5Cl: theoretical X-ray diffraction stick pattern (Cu Kα X-rays), based on a PBE-relaxed structure.

Most intense lines, 10 to 80 degrees two-theta, sorted by position:
- 16.8°, I = 74, hkl 2 0 0
- 17.9°, I = 62, hkl 0 6 0
- 24.7°, I = 36, hkl 1 3 1
- 27.3°, I = 36, hkl 2 0 1
- 28.0°, I = 52, hkl 0 6 1
- 34.6°, I = 100, hkl 3 3 1
- 35.7°, I = 24, hkl 1 9 1
- 36.2°, I = 39, hkl 0 12 0
- 43.4°, I = 89, hkl 0 0 2
- 57.8°, I = 36, hkl 0 12 2

Structural model:
abc: 10.5530 29.7453 4.1616
angles: 90.00 90.00 90.00
Space group Cmmm (No. 65)
Symmetry-distinct sites (fractional):
In 0.0000 0.0000 0.0000
In 0.0000 0.1608 0.5000
In 0.0000 0.3306 0.0000
In 0.0000 0.5000 0.5000
Br 0.0000 0.2415 0.0000
Br 0.0000 0.4200 0.0000
Br 0.1771 0.0000 0.5000
Br 0.1779 0.3308 0.5000
Cl 0.0000 0.0839 0.0000